# 1
Simulated PXRD pattern
Compound: Tm6Sc2Al
Radiation: λ = 1.5418 Å (Cu Kα)
Structure: a cell relaxed with PBE

Crystal structure
Lattice parameters (Å, degrees): 9.818 9.830 5.127 90.00 90.00 90.00
Space group Pnnm (No. 58)
Inequivalent atoms, fractional coordinates:
Tm 0.036 0.185 0.000 [4 per cell]
Tm 0.124 0.623 0.500 [4 per cell]
Tm 0.185 0.962 0.500 [4 per cell]
Sc 0.209 0.289 0.500 [4 per cell]
Al 0.000 0.500 0.000 [2 per cell]

Largest 10 diffraction maxima, low angle first, 2θ = 10–90°:
hkl 1 1 1, d = 4.125 Å, 21.5 deg, rel. 17; hkl 1 2 1, d = 3.336 Å, 26.7 deg, rel. 37; hkl 3 0 1, d = 2.760 Å, 32.4 deg, rel. 100; hkl 2 3 0, d = 2.725 Å, 32.9 deg, rel. 28; hkl 1 3 1, d = 2.657 Å, 33.7 deg, rel. 37; hkl 0 0 2, d = 2.563 Å, 35.0 deg, rel. 32; hkl 3 3 0, d = 2.316 Å, 38.9 deg, rel. 19; hkl 2 3 2, d = 1.867 Å, 48.8 deg, rel. 19; hkl 3 3 2, d = 1.718 Å, 53.3 deg, rel. 20; hkl 6 2 1, d = 1.487 Å, 62.5 deg, rel. 20

***

# 2
Simulated PXRD pattern
Compound: Tm4Sc3Al4
Radiation: λ = 1.5418 Å (Cu Kα)
Structure: a cell relaxed with PBE

Crystal structure
Lattice parameters (Å, degrees): 3.276 8.970 17.839 90.00 90.00 90.00
Space group Immm (No. 71)
Inequivalent atoms, fractional coordinates:
Tm 0.000 0.184 0.162 [8 per cell]
Sc 0.000 0.000 0.407 [4 per cell]
Sc 0.000 0.500 0.500 [2 per cell]
Al 0.000 0.281 0.000 [4 per cell]
Al 0.000 0.500 0.225 [4 per cell]

Largest 10 diffraction maxima, low angle first, 2θ = 10–90°:
hkl 0 0 4, d = 4.460 Å, 19.9 deg, rel. 32; hkl 0 0 6, d = 2.973 Å, 30.1 deg, rel. 49; hkl 1 0 3, d = 2.869 Å, 31.2 deg, rel. 96; hkl 0 3 3, d = 2.671 Å, 33.5 deg, rel. 100; hkl 1 2 1, d = 2.617 Å, 34.3 deg, rel. 53; hkl 1 1 4, d = 2.533 Å, 35.4 deg, rel. 32; hkl 0 2 6, d = 2.478 Å, 36.2 deg, rel. 46; hkl 1 0 5, d = 2.415 Å, 37.2 deg, rel. 52; hkl 1 3 0, d = 2.208 Å, 40.9 deg, rel. 40; hkl 1 3 6, d = 1.773 Å, 51.6 deg, rel. 51

***

# 3
Simulated PXRD pattern
Compound: Tm3Sc2Al2
Radiation: λ = 1.5418 Å (Cu Kα)
Structure: a cell relaxed with PBE

Crystal structure
Lattice parameters (Å, degrees): 4.657 22.164 3.266 90.00 90.00 90.00
Space group Cmmm (No. 65)
Inequivalent atoms, fractional coordinates:
Tm 0.000 0.000 0.000 [2 per cell]
Tm 0.000 0.145 0.000 [4 per cell]
Sc 0.000 0.284 0.500 [4 per cell]
Al 0.000 0.428 0.500 [4 per cell]

Largest 10 diffraction maxima, low angle first, 2θ = 10–90°:
hkl 1 1 0, d = 4.558 Å, 19.5 deg, rel. 89; hkl 0 6 0, d = 3.694 Å, 24.1 deg, rel. 29; hkl 0 0 1, d = 3.266 Å, 27.3 deg, rel. 27; hkl 1 1 1, d = 2.655 Å, 33.8 deg, rel. 97; hkl 1 7 0, d = 2.618 Å, 34.2 deg, rel. 100; hkl 0 6 1, d = 2.447 Å, 36.7 deg, rel. 44; hkl 2 0 0, d = 2.329 Å, 38.7 deg, rel. 36; hkl 1 7 1, d = 2.043 Å, 44.3 deg, rel. 31; hkl 2 6 1, d = 1.687 Å, 54.4 deg, rel. 28; hkl 1 7 2, d = 1.386 Å, 67.6 deg, rel. 27